NaTl2SbF6: simulated powder X-ray diffraction pattern (Cu Kα, 1.54184 Å), based on a crystal structure in Alexandria, relaxed with PBE.

Atomic structure:
Cell: 11.149 6.264 6.731 Å, 90.00 126.80 90.00°
Space group C2 (No. 5)
Inequivalent atoms, fractional coordinates:
Na  0.000  0.000  0.000
Tl  0.231  0.470  0.238
Sb  0.000  0.495  0.500
F  0.014  0.748  0.722
F  0.015  0.297  0.807
F  0.242  0.540  0.709

Largest 10 diffraction maxima, by angle, 10 to 80 degrees two-theta:
- d 5.128, 17.29 deg, intensity 33
- d 4.586, 19.36 deg, intensity 52
- d 3.365, 26.48 deg, intensity 61
- d 3.205, 27.84 deg, intensity 100
- d 3.192, 27.95 deg, intensity 97
- d 3.132, 28.50 deg, intensity 49
- d 2.293, 39.30 deg, intensity 64
- d 2.232, 40.42 deg, intensity 28
- d 1.913, 47.52 deg, intensity 28
- d 1.821, 50.10 deg, intensity 45



NaTb2P2N6: simulated powder X-ray diffraction pattern (Cu Kα, 1.54184 Å), based on a crystal structure in Alexandria, relaxed with PBE.

Atomic structure:
Cell: 5.802 6.145 6.293 Å, 98.01 112.27 115.85°
Space group P-1 (No. 2)
Inequivalent atoms, fractional coordinates:
Na  0.000  0.000  0.000
Tb  0.370  0.668  0.298
P  0.298  0.739  0.742
N  0.147  0.692  0.905
N  0.257  0.892  0.560
N  0.491  0.627  0.724

Largest 10 diffraction maxima, by angle, 10 to 80 degrees two-theta:
- d 4.963, 17.87 deg, intensity 42
- d 4.855, 18.27 deg, intensity 87
- d 4.542, 19.54 deg, intensity 65
- d 4.057, 21.91 deg, intensity 43
- d 3.362, 26.51 deg, intensity 57
- d 3.040, 29.38 deg, intensity 54
- d 2.869, 31.17 deg, intensity 48
- d 2.752, 32.54 deg, intensity 100
- d 2.714, 33.01 deg, intensity 59
- d 2.435, 36.91 deg, intensity 51



Li3MgTl3: simulated powder X-ray diffraction pattern (Cu Kα, 1.54184 Å), based on a crystal structure in Alexandria, relaxed with PBE.

Atomic structure:
Cell: 9.682 9.857 6.662 Å, 90.00 90.00 90.00°
Space group Cmmm (No. 65)
Inequivalent atoms, fractional coordinates:
Li  0.000  0.233  0.000
Li  0.000  0.250  0.500
Li  0.224  0.000  0.000
Mg  0.181  0.000  0.500
Tl  0.000  0.500  0.246
Tl  0.250  0.250  0.245

Largest 10 diffraction maxima, by angle, 10 to 80 degrees two-theta:
- d 6.907, 12.82 deg, intensity 53
- d 3.454, 25.80 deg, intensity 100
- d 3.331, 26.77 deg, intensity 44
- d 2.464, 36.46 deg, intensity 26
- d 2.421, 37.14 deg, intensity 23
- d 2.397, 37.51 deg, intensity 94
- d 1.981, 45.80 deg, intensity 21
- d 1.958, 46.37 deg, intensity 23
- d 1.533, 60.37 deg, intensity 32
- d 1.500, 61.84 deg, intensity 20



Copy entry 2 word for word.
NaTb2P2N6: simulated powder X-ray diffraction pattern (Cu Kα, 1.54184 Å), based on a crystal structure in Alexandria, relaxed with PBE.

Atomic structure:
Cell: 5.802 6.145 6.293 Å, 98.01 112.27 115.85°
Space group P-1 (No. 2)
Inequivalent atoms, fractional coordinates:
Na  0.000  0.000  0.000
Tb  0.370  0.668  0.298
P  0.298  0.739  0.742
N  0.147  0.692  0.905
N  0.257  0.892  0.560
N  0.491  0.627  0.724

Largest 10 diffraction maxima, by angle, 10 to 80 degrees two-theta:
- d 4.963, 17.87 deg, intensity 42
- d 4.855, 18.27 deg, intensity 87
- d 4.542, 19.54 deg, intensity 65
- d 4.057, 21.91 deg, intensity 43
- d 3.362, 26.51 deg, intensity 57
- d 3.040, 29.38 deg, intensity 54
- d 2.869, 31.17 deg, intensity 48
- d 2.752, 32.54 deg, intensity 100
- d 2.714, 33.01 deg, intensity 59
- d 2.435, 36.91 deg, intensity 51